# 1
Theoretical X-ray powder pattern of SnBiSbTe for λ = 1.5418 Å (Cu Kα), from a cell relaxed with GGA-PBE.

Structure:
a = 6.470 Å, b = 4.275 Å, c = 11.793 Å
α = 90.00°, β = 90.00°, γ = 90.00°
Space group Amm2 (No. 38)
Inequivalent atoms, fractional coordinates:
Sn1 0.000 0.000 0.000 [2 per cell]
Bi1 0.500 0.000 0.625 [2 per cell]
Sb1 0.500 0.000 0.952 [2 per cell]
Te1 0.000 0.000 0.675 [2 per cell]

Most intense lines, 10 to 90 degrees two-theta, by angle:
| 2theta | intensity | hkl |
| --- | --- | --- |
| 15.02 | 814 | 0 0 2 |
| 22.12 | 751 | 0 1 1 |
| 27.57 | 827 | 2 0 0 |
| 30.90 | 1000 | 0 1 3 |
| 31.54 | 281 | 2 0 2 |
| 33.94 | 401 | 1 1 3 |
| 35.63 | 448 | 2 1 1 |
| 41.89 | 887 | 2 1 3 |
| 51.23 | 305 | 2 2 0 |
| 66.19 | 419 | 4 1 3 |

---

# 2
Theoretical X-ray powder pattern of ZnSnBiSb for λ = 1.5418 Å (Cu Kα), from a cell relaxed with GGA-PBE.

Structure:
a = 4.6106 Å, b = 4.6106 Å, c = 22.4059 Å
α = 90.00°, β = 90.00°, γ = 120.00°
Space group R3m (No. 160, hexagonal axes)
Inequivalent atoms, fractional coordinates:
Zn1 0.0000 0.0000 0.0000 [3 per cell]
Sn1 0.0000 0.0000 0.5115 [3 per cell]
Bi1 0.0000 0.0000 0.6429 [3 per cell]
Sb1 0.0000 0.0000 0.1226 [3 per cell]

Most intense lines, 10 to 90 degrees two-theta, by angle:
| 2theta | intensity | hkl |
| --- | --- | --- |
| 23.66 | 1000 | 0 1 2 |
| 23.83 | 339 | 0 0 6 |
| 35.96 | 127 | 1 0 7 |
| 39.07 | 540 | 1 1 0 |
| 39.29 | 439 | 0 1 8 |
| 46.25 | 525 | 1 1 6 |
| 56.62 | 152 | 2 0 8 |
| 62.07 | 167 | 0 0 15 |
| 70.94 | 157 | 1 2 8 |
| 75.90 | 168 | 1 1 15 |

---

# 3
Theoretical X-ray powder pattern of SrBi3Sb3 for λ = 1.5418 Å (Cu Kα), from a cell relaxed with GGA-PBE.

Structure:
a = 8.643 Å, b = 8.643 Å, c = 8.643 Å
α = 90.00°, β = 90.00°, γ = 90.00°
Space group Pm-3n (No. 223)
Inequivalent atoms, fractional coordinates:
Sr1 0.000 0.000 0.000 [2 per cell]
Bi1 0.000 0.250 0.500 [6 per cell]
Sb1 0.000 0.500 0.250 [6 per cell]

Most intense lines, 10 to 90 degrees two-theta, by angle:
| 2theta | intensity | hkl |
| --- | --- | --- |
| 14.49 | 584 | 1 1 0 |
| 20.55 | 409 | 2 0 0 |
| 25.24 | 1000 | 2 1 1 |
| 36.00 | 619 | 2 2 2 |
| 38.99 | 644 | 3 2 1 |
| 41.81 | 441 | 4 0 0 |
| 58.49 | 198 | 5 2 1 |
| 60.61 | 296 | 4 4 0 |
| 66.72 | 201 | 6 1 1 |
| 72.55 | 248 | 6 2 2 |

---

What is the formula in the second record? ZnSnBiSb